(1)
Starting from a DFT-relaxed cell (GGA-PBE, Alexandria), the X-ray powder pattern of Sc7Ge2Te2 was computed for Cu Ka.
Lines closer than 0.1° are merged.

Top 12 peaks for 2θ from 10° to 90°, by intensity:
Position (°2θ)  I (rel.)
35.6  100
35.9  51
23.8  45
40.1  41
36.1  33
24.3  31
45.2  31
27.6  31
30.7  28
25.6  20
44.1  18
47.3  18

Structure:
```
Sc7Ge2Te2
1.0
-2.0072 6.9574 4.4290
2.0072 -6.9574 4.4290
2.0072 6.9574 -4.4290
Sc Ge Te
7 2 2
Cartesian
0.0000 0.0000 0.0000
2.0072 2.5618 -1.0338
2.0072 -2.0965 2.2789
2.0072 2.0965 2.2789
2.0072 5.1426 0.8589
0.0000 4.3956 3.3952
0.0000 1.8148 5.2878
0.0000 3.2416 0.6802
0.0000 10.6732 0.6802
0.0000 0.0000 3.0068
0.0000 6.9574 2.1238
```

(2)
Starting from a DFT-relaxed cell (GGA-PBE, Alexandria), the X-ray powder pattern of Sc4Ge2Te was computed for Cu Ka.
Lines closer than 0.1° are merged.

Top 12 peaks for 2θ from 10° to 90°, by intensity:
Position (°2θ)  I (rel.)
25.5  100
44.1  83
40.4  73
21.7  61
30.8  23
61.3  22
38.0  20
81.2  19
59.6  18
51.6  17
70.2  16
86.8  12

Structure:
```
Sc4Ge2Te
1.0
-4.1061 4.1061 5.7974
4.1061 -4.1061 5.7974
4.1061 4.1061 -5.7974
Sc Ge Te
8 4 2
Cartesian
2.3891 2.0531 0.2353
5.8231 2.0531 0.2353
4.1061 0.3361 2.6633
0.0000 0.3361 3.1340
4.1061 3.7700 2.6633
0.0000 3.7700 3.1340
-1.7170 2.0531 5.5620
1.7170 2.0531 5.5620
4.1061 0.0000 0.0000
-2.0531 2.0531 2.8987
0.0000 0.0000 5.7974
2.0531 2.0531 2.8987
4.1061 -2.0531 4.3480
0.0000 6.1592 1.4493
```

(3)
Starting from a DFT-relaxed cell (GGA-PBE, Alexandria), the X-ray powder pattern of Sc3GeTe2 was computed for Cu Ka.
Lines closer than 0.1° are merged.

Top 12 peaks for 2θ from 10° to 90°, by intensity:
Position (°2θ)  I (rel.)
31.0  100
44.5  53
30.8  51
44.1  34
26.7  28
44.4  18
55.1  17
73.4  14
26.5  14
26.9  12
52.8  11
64.7  10

Structure:
```
Sc3GeTe2
1.0
3.5709 -6.1090 0.0000
3.5709 6.1090 0.0000
-2.3756 0.0000 6.6293
Sc Ge Te
6 2 4
Cartesian
1.7854 3.0545 0.0000
0.3435 0.8825 3.2642
-0.8442 -0.8825 6.5788
0.5977 -3.0545 3.3147
5.6104 0.8825 0.0505
4.4227 -0.8825 3.3651
2.9770 4.9989 1.6573
1.7892 -4.9989 4.9720
1.7892 2.9364 4.9720
2.9770 0.9822 1.6573
1.7892 -0.9822 4.9720
2.9770 -2.9364 1.6573
```

(4)
Starting from a DFT-relaxed cell (GGA-PBE, Alexandria), the X-ray powder pattern of Sc2TiGe2 was computed for Cu Ka.
Lines closer than 0.1° are merged.

Top 12 peaks for 2θ from 10° to 90°, by intensity:
Position (°2θ)  I (rel.)
40.6  100
37.6  92
35.8  66
44.9  58
32.9  49
23.9  39
34.5  39
46.6  35
41.9  32
33.7  29
32.3  24
10.2  22

Structure:
```
Sc2TiGe2
1.0
5.5654 -2.0176 0.0000
5.5654 2.0176 0.0000
-4.6964 0.0000 8.6307
Sc Ti Ge
4 2 4
Cartesian
-0.7127 0.0000 1.5493
-0.7772 0.0000 5.1666
7.2116 0.0000 3.4641
7.1471 0.0000 7.0814
2.5156 0.0000 1.0843
3.9188 0.0000 7.5464
-0.2232 0.0000 7.9779
2.4122 0.0000 5.3299
4.0222 0.0000 3.3007
6.6576 0.0000 0.6528
```

(5)
Starting from a DFT-relaxed cell (GGA-PBE, Alexandria), the X-ray powder pattern of ScTiGe2 was computed for Cu Ka.
Lines closer than 0.1° are merged.

Top 12 peaks for 2θ from 10° to 90°, by intensity:
Position (°2θ)  I (rel.)
41.9  100
45.0  59
25.5  52
30.4  42
63.2  26
80.9  24
85.8  17
83.1  8
52.5  7
55.3  6
56.9  6
68.5  6

Structure:
```
ScTiGe2
1.0
8.0594 0.0000 0.0000
0.0000 6.9730 0.0000
0.0000 0.0000 5.4821
Sc Ti Ge
4 4 8
Cartesian
1.0075 0.6452 1.3705
1.0075 2.8413 4.1116
7.0519 4.1317 1.3705
7.0519 6.3278 4.1116
3.0517 3.9917 1.3705
3.0517 6.4678 4.1116
5.0077 0.5052 1.3705
5.0077 2.9813 4.1116
1.1419 5.2298 0.0000
1.1419 5.2298 2.7410
3.1311 1.7433 0.0000
3.1311 1.7433 2.7410
4.9283 5.2298 0.0000
4.9283 5.2298 2.7410
6.9175 1.7433 0.0000
6.9175 1.7433 2.7410
```

(6)
Starting from a DFT-relaxed cell (GGA-PBE, Alexandria), the X-ray powder pattern of ScTi2Ge2 was computed for Cu Ka.
Lines closer than 0.1° are merged.

Top 12 peaks for 2θ from 10° to 90°, by intensity:
Position (°2θ)  I (rel.)
38.5  100
40.5  39
68.4  15
78.0  14
52.6  12
17.8  12
25.6  11
36.3  11
53.8  10
48.5  9
51.9  7
46.4  7

Structure:
```
ScTi2Ge2
1.0
7.0511 0.0000 0.0000
0.0000 7.0511 0.0000
0.0000 0.0000 3.4818
Sc Ti Ge
2 4 4
Cartesian
0.0000 0.0000 0.0000
3.5255 3.5255 0.0000
1.1719 2.3536 1.7409
2.3536 5.8792 1.7409
4.6974 1.1719 1.7409
5.8792 4.6974 1.7409
0.9303 4.4558 0.0000
2.5952 0.9303 0.0000
4.4558 6.1208 0.0000
6.1208 2.5952 0.0000
```

(7)
Starting from a DFT-relaxed cell (GGA-PBE, Alexandria), the X-ray powder pattern of Sc5Tl2Ge2 was computed for Cu Ka.
Lines closer than 0.1° are merged.

Top 12 peaks for 2θ from 10° to 90°, by intensity:
Position (°2θ)  I (rel.)
34.7  100
24.8  46
27.2  45
27.1  45
46.0  36
36.8  35
34.2  35
34.4  33
11.9  31
24.4  26
24.2  26
50.0  26

Structure:
```
Sc5Tl2Ge2
1.0
7.4677 -3.6721 0.0000
7.4677 3.6721 0.0000
0.0000 0.0000 7.2914
Sc Tl Ge
10 4 4
Cartesian
0.0000 0.0000 0.0000
5.6375 2.4022 4.8833
5.6375 1.2699 1.2376
9.2980 2.4022 4.8833
9.2980 1.2699 1.2376
7.4677 0.0000 3.6457
5.6375 -1.2699 6.0539
5.6375 -2.4022 2.4081
9.2980 -1.2699 6.0539
9.2980 -2.4022 2.4081
3.2550 0.0000 0.0000
4.2128 0.0000 3.6457
10.7227 0.0000 3.6457
11.6805 0.0000 0.0000
7.4677 2.6869 2.6555
7.4677 0.9852 6.3012
7.4677 -0.9852 0.9902
7.4677 -2.6869 4.6359
```

(8)
Starting from a DFT-relaxed cell (GGA-PBE, Alexandria), the X-ray powder pattern of Tm5Sc2Ge4 was computed for Cu Ka.
Lines closer than 0.1° are merged.

Top 12 peaks for 2θ from 10° to 90°, by intensity:
Position (°2θ)  I (rel.)
31.6  100
32.0  45
34.9  43
34.3  38
37.9  38
15.0  32
27.4  29
29.0  27
48.9  21
42.2  19
54.5  17
39.4  15

Structure:
```
Tm5Sc2Ge4
1.0
12.3012 -1.6824 0.0000
12.3012 1.6824 0.0000
-0.0350 0.0000 6.7551
Tm Sc Ge
5 2 4
Cartesian
0.0000 0.0000 0.0000
6.4799 0.0000 5.1481
9.0045 0.0000 1.2030
15.5631 0.0000 5.5521
18.0877 0.0000 1.6070
10.0596 0.0000 4.6273
14.5080 0.0000 2.1278
4.1783 0.0000 3.3535
11.6627 0.0000 2.2905
12.9048 0.0000 4.4645
20.3893 0.0000 3.4016
```

(9)
Starting from a DFT-relaxed cell (GGA-PBE, Alexandria), the X-ray powder pattern of ScUGe was computed for Cu Ka.
Lines closer than 0.1° are merged.

Top 12 peaks for 2θ from 10° to 90°, by intensity:
Position (°2θ)  I (rel.)
38.7  100
36.5  70
37.5  46
67.2  40
32.9  32
45.5  29
52.6  25
16.2  21
53.3  17
24.4  16
72.0  16
63.4  13

Structure:
```
ScUGe
1.0
-1.7398 1.7398 10.9487
1.7398 -1.7398 10.9487
1.7398 1.7398 -10.9487
Sc U Ge
2 2 2
Cartesian
0.0000 0.0000 1.6313
0.0000 0.0000 20.2661
0.0000 0.0000 4.9477
0.0000 0.0000 16.9498
0.0000 0.0000 7.8558
0.0000 0.0000 14.0416
```

(10)
Starting from a DFT-relaxed cell (GGA-PBE, Alexandria), the X-ray powder pattern of Sc2V3Ge4 was computed for Cu Ka.
Lines closer than 0.1° are merged.

Top 12 peaks for 2θ from 10° to 90°, by intensity:
Position (°2θ)  I (rel.)
36.5  100
36.8  84
43.1  83
42.9  53
38.7  50
41.5  39
41.1  37
40.1  33
42.4  25
44.8  25
28.2  22
56.1  19

Structure:
```
Sc2V3Ge4
1.0
6.6279 0.0000 0.0000
0.0000 12.7802 0.0000
0.0000 0.0000 6.7793
Sc V Ge
8 12 16
Cartesian
0.0607 1.1903 1.1800
0.0607 5.1998 1.1800
3.2533 7.5803 4.5697
3.2533 11.5899 4.5697
3.3746 1.1903 2.2096
3.3746 5.1998 2.2096
6.5673 7.5803 5.5992
6.5673 11.5899 5.5992
1.0549 8.0192 2.2635
1.0549 11.1511 2.2635
1.0904 3.1950 3.4897
2.2236 9.5851 0.1001
2.2590 1.6291 5.6532
2.2590 4.7610 5.6532
4.3689 8.0192 1.1261
4.3689 11.1511 1.1261
4.4043 3.1950 6.6792
5.5376 9.5851 3.2896
5.5730 1.6291 4.5157
5.5730 4.7610 4.5157
0.2414 3.1950 5.9519
1.1787 0.5446 3.6724
1.1787 5.8455 3.6724
1.2548 9.5851 4.3780
2.0592 3.1950 0.9883
2.1352 6.9347 0.2827
2.1352 12.2356 0.2827
3.0726 9.5851 2.5623
3.5554 3.1950 4.2170
4.4927 0.5446 6.4965
4.4927 5.8455 6.4965
4.5687 9.5851 5.7909
5.3732 3.1950 2.4013
5.4492 6.9347 3.1069
5.4492 12.2356 3.1069
6.3865 9.5851 0.8273
```

(11)
Starting from a DFT-relaxed cell (GGA-PBE, Alexandria), the X-ray powder pattern of Sc2Zn3Ge3 was computed for Cu Ka.
Lines closer than 0.1° are merged.

Top 12 peaks for 2θ from 10° to 90°, by intensity:
Position (°2θ)  I (rel.)
38.1  100
42.8  18
44.2  16
45.9  14
75.3  12
77.3  11
63.2  11
79.7  10
64.6  10
81.6  10
65.7  9
22.5  1

Structure:
```
Sc2Zn3Ge3
1.0
4.0958 0.0000 0.0000
0.0000 4.2274 0.0000
0.0000 0.0000 7.9057
Sc Zn Ge
2 3 3
Cartesian
0.0000 0.0000 1.9263
0.0000 0.0000 5.9794
0.0000 2.1137 3.9528
2.0479 2.1137 2.0686
2.0479 2.1137 5.8371
0.0000 2.1137 0.0000
2.0479 0.0000 0.0000
2.0479 0.0000 3.9528
```

(12)
Starting from a DFT-relaxed cell (GGA-PBE, Alexandria), the X-ray powder pattern of Ge2Se3 was computed for Cu Ka.
Lines closer than 0.1° are merged.

Top 12 peaks for 2θ from 10° to 90°, by intensity:
Position (°2θ)  I (rel.)
30.3  100
39.8  75
46.8  51
18.0  25
52.5  21
63.1  18
24.7  16
79.8  16
82.1  16
36.5  15
56.8  14
45.7  11

Structure:
```
Ge2Se3
1.0
3.3628 1.9415 6.1202
-3.3628 1.9415 6.1202
0.0000 -3.8830 6.1202
Ge Se
4 6
Cartesian
0.0000 0.0000 2.8601
0.0000 0.0000 6.3201
0.0000 0.0000 12.0404
0.0000 0.0000 15.5004
-2.3148 -0.1263 7.6502
-1.0480 -2.0678 10.7103
1.2668 -1.9415 7.6502
-1.2668 1.9415 10.7103
1.0480 2.0678 7.6502
2.3148 0.1263 10.7103
```

(13)
Starting from a DFT-relaxed cell (GGA-PBE, Alexandria), the X-ray powder pattern of GeSe was computed for Cu Ka.
Lines closer than 0.1° are merged.

Top 12 peaks for 2θ from 10° to 90°, by intensity:
Position (°2θ)  I (rel.)
21.1  100
37.0  75
49.3  64
31.5  55
38.2  43
77.9  16
32.5  15
42.9  12
54.2  12
45.9  11
47.7  11
29.1  11

Structure:
```
GeSe
1.0
8.4232 0.0000 0.0000
-4.2116 7.2947 0.0000
0.0000 0.0000 5.6835
Ge Se
6 6
Cartesian
-1.4754 2.5703 1.4209
-1.2480 7.2873 1.4209
1.4883 2.5629 4.2626
2.7234 4.7319 1.4209
5.4596 0.0074 4.2626
5.6870 4.7244 4.2626
-2.4126 5.0013 1.4209
1.0866 2.7047 1.4209
2.8856 0.4113 4.2626
1.3260 6.8834 1.4209
3.1250 4.5901 4.2626
6.6242 2.2934 4.2626
```